# Ca2AgWO6
Simulated powder diffractogram, λ = 1.5418 Å (Cu Kα). Input: a PBE+U-relaxed structure.
Intensities are scaled so that the largest is 100.

Atomic structure:
a = 5.544 Å, b = 5.803 Å, c = 5.805 Å
α = 117.39°, β = 118.52°, γ = 90.05°
Space group P1 (No. 1)
Unique sites:
Ca (0.000, 0.000, 0.000) x1
Ca (0.492, 0.487, 0.999) x1
Ag (0.228, 0.663, 0.455) x1
W (0.710, 0.128, 0.425) x1
O (0.045, 0.340, 0.521) x1
O (0.352, 0.849, 0.263) x1
O (0.456, 0.331, 0.296) x1
O (0.613, 0.880, 0.004) x1
O (0.781, 0.291, 0.829) x1
O (0.915, 0.866, 0.518) x1

Most intense lines, 10 to 90 degrees two-theta, sorted by position:
2θ = 20.44°, 4.344 Å, I 45, hkl 0 0 1
2θ = 22.19°, 4.006 Å, I 75, hkl 1 -1 0
2θ = 29.78°, 3.000 Å, I 76, hkl 1 1 0
2θ = 30.89°, 2.895 Å, I 100, hkl 1 -1 1
2θ = 32.30°, 2.772 Å, I 28, hkl 2 0 -1
2θ = 45.27°, 2.003 Å, I 30, hkl 2 -2 0